Record 1
Theoretical powder diffractogram
Compound: KSrVO4
Radiation: Cu Kα, 1.54184 Å
Structure: the PBE+U geometry in the Materials Project
Peak positions follow from Bragg's law for the DFT cell and can differ from measured ones.

Principal peaks in the range 10 to 90 degrees two-theta, in order of rising 2θ:
- d 5.138, I 23
- d 3.435, I 23
- d 3.042, I 100
- d 3.025, I 28
- d 2.982, I 68
- d 2.936, I 82
- d 2.225, I 31
- d 2.124, I 41
- d 1.888, I 18
- d 1.733, I 17

Cell: 7.548 5.963 10.119 Å, 90.00 90.00 90.00°
Atoms (fractional coordinates):
K: 0.158 0.250 0.076
K: 0.342 0.750 0.576
K: 0.658 0.250 0.424
K: 0.842 0.750 0.924
Sr: 0.003 0.250 0.702
Sr: 0.497 0.750 0.202
Sr: 0.503 0.250 0.798
Sr: 0.997 0.750 0.298
V: 0.222 0.250 0.416
V: 0.278 0.750 0.916
V: 0.722 0.250 0.084
V: 0.778 0.750 0.584
O: 0.003 0.750 0.556
O: 0.176 0.750 0.071
O: 0.220 0.508 0.827
O: 0.220 0.992 0.827
O: 0.280 0.008 0.327
O: 0.280 0.492 0.327
O: 0.324 0.250 0.571
O: 0.497 0.250 0.056
O: 0.503 0.750 0.944
O: 0.676 0.750 0.429
O: 0.720 0.508 0.673
O: 0.720 0.992 0.673
O: 0.780 0.008 0.173
O: 0.780 0.492 0.173
O: 0.824 0.250 0.929
O: 0.997 0.250 0.444



Record 2
Theoretical powder diffractogram
Compound: KTaW2O9
Radiation: Cu Kα, 1.54184 Å
Structure: the PBE+U geometry in the Materials Project
Peak positions follow from Bragg's law for the DFT cell and can differ from measured ones.

Principal peaks in the range 10 to 90 degrees two-theta, in order of rising 2θ:
- d 6.525, I 42
- d 3.909, I 46
- d 3.767, I 12
- d 3.354, I 27
- d 3.262, I 100
- d 2.713, I 15
- d 2.505, I 47
- d 1.884, I 25
- d 1.697, I 17
- d 1.677, I 16

Cell: 3.909 13.036 13.051 Å, 60.09 89.97 89.97°
Atoms (fractional coordinates):
K: 0.000 0.000 0.000
K: 0.000 0.348 0.355
K: 0.821 0.670 0.678
Ta: 0.444 0.338 0.844
Ta: 0.471 0.505 0.517
Ta: 0.471 0.836 0.845
W: 0.429 0.504 0.013
W: 0.431 0.006 0.512
W: 0.431 0.840 0.343
W: 0.491 0.671 0.179
W: 0.493 0.172 0.679
W: 0.496 0.173 0.178
O: 0.461 0.128 0.553
O: 0.462 0.208 0.802
O: 0.462 0.469 0.681
O: 0.462 0.549 0.136
O: 0.462 0.663 0.890
O: 0.462 0.797 0.220
O: 0.462 0.881 0.671
O: 0.463 0.128 0.345
O: 0.463 0.680 0.465
O: 0.464 0.006 0.797
O: 0.464 0.336 0.557
O: 0.464 0.337 0.139
O: 0.464 0.456 0.898
O: 0.464 0.553 0.341
O: 0.464 0.794 0.013
O: 0.465 0.007 0.221
O: 0.465 0.212 0.018
O: 0.466 0.887 0.462
O: 0.956 0.007 0.508
O: 0.956 0.500 0.020
O: 0.957 0.843 0.339
O: 0.959 0.328 0.847
O: 0.964 0.510 0.509
O: 0.964 0.832 0.839
O: 0.968 0.674 0.177
O: 0.969 0.171 0.674
O: 0.970 0.171 0.183



Record 3
Theoretical powder diffractogram
Compound: KVTeO5
Radiation: Cu Kα, 1.54184 Å
Structure: the PBE+U geometry in the Materials Project
Peak positions follow from Bragg's law for the DFT cell and can differ from measured ones.

Principal peaks in the range 10 to 90 degrees two-theta, in order of rising 2θ:
- d 5.947, I 40
- d 5.881, I 35
- d 5.541, I 23
- d 4.961, I 49
- d 3.422, I 100
- d 3.349, I 80
- d 3.131, I 32
- d 2.832, I 46
- d 2.668, I 32
- d 2.573, I 22

Cell: 6.547 11.895 7.074 Å, 90.00 106.98 90.00°
Atoms (fractional coordinates):
K: 0.178 0.188 0.164
K: 0.178 0.312 0.664
K: 0.822 0.688 0.336
K: 0.822 0.812 0.836
V: 0.349 0.621 0.594
V: 0.349 0.879 0.094
V: 0.651 0.121 0.906
V: 0.651 0.379 0.406
Te: 0.236 0.554 0.102
Te: 0.236 0.946 0.602
Te: 0.764 0.054 0.398
Te: 0.764 0.446 0.898
O: 0.114 0.090 0.512
O: 0.114 0.410 0.012
O: 0.176 0.701 0.669
O: 0.176 0.799 0.169
O: 0.193 0.550 0.363
O: 0.193 0.950 0.863
O: 0.466 0.202 0.952
O: 0.466 0.298 0.452
O: 0.466 0.517 0.781
O: 0.466 0.983 0.281
O: 0.534 0.017 0.719
O: 0.534 0.483 0.219
O: 0.534 0.702 0.548
O: 0.534 0.798 0.048
O: 0.807 0.050 0.137
O: 0.807 0.450 0.637
O: 0.824 0.201 0.831
O: 0.824 0.299 0.331
O: 0.886 0.590 0.988
O: 0.886 0.910 0.488